[1]
The following is a simulated X-ray powder pattern of K2TeClF5. It was derived from a cell relaxed with PBE, using λ = 1.5418 Å (Cu Kα).
Intensities are scaled so that the largest is 100.

Top 10 peaks for 2θ from 5° to 70°, low angle first:
| 2theta | I (rel.) |
| --- | --- |
| 14.6 | 46 |
| 17.5 | 70 |
| 19.8 | 43 |
| 21.3 | 39 |
| 23.7 | 28 |
| 25.0 | 100 |
| 25.5 | 39 |
| 28.0 | 27 |
| 34.8 | 26 |
| 40.1 | 29 |

Structure:
Unit cell a=4.7338 b=10.7864 c=15.4036 alpha=90.00 beta=106.92 gamma=90.00
Positions (direct):
K1 0.1458 0.0771 0.3945
K2 0.1458 0.4229 0.8945
K3 0.1803 0.6607 0.4202
K4 0.1803 0.8393 0.9202
K5 0.8197 0.1607 0.0798
K6 0.8197 0.3393 0.5798
K7 0.8542 0.5771 0.1055
K8 0.8542 0.9229 0.6055
Te1 0.3270 0.6317 0.6837
Te2 0.3270 0.8683 0.1837
Te3 0.6730 0.1317 0.8163
Te4 0.6730 0.3683 0.3163
Cl1 0.3345 0.1263 0.6028
Cl2 0.3345 0.3737 0.1028
Cl3 0.6655 0.6263 0.8972
Cl4 0.6655 0.8737 0.3972
F1 0.0481 0.1390 0.9099
F2 0.0481 0.3610 0.4099
F3 0.1096 0.0028 0.2266
F4 0.1096 0.4972 0.7266
F5 0.1158 0.7447 0.2395
F6 0.1158 0.7553 0.7395
F7 0.3892 0.5029 0.5944
F8 0.3892 0.9971 0.0945
F9 0.3925 0.7260 0.1036
F10 0.3925 0.7740 0.6036
F11 0.6075 0.2260 0.3964
F12 0.6075 0.2740 0.8964
F13 0.6108 0.0029 0.9056
F14 0.6108 0.4971 0.4056
F15 0.8842 0.2447 0.2605
F16 0.8842 0.2553 0.7605
F17 0.8904 0.5028 0.2734
F18 0.8904 0.9972 0.7734
F19 0.9519 0.6390 0.5901
F20 0.9519 0.8610 0.0901

***

[2]
The following is a simulated X-ray powder pattern of K4Zn3ClF12. It was derived from a cell relaxed with PBE, using λ = 1.5418 Å (Cu Kα).
Intensities are scaled so that the largest is 100.

Top 10 peaks for 2θ from 5° to 70°, low angle first:
| 2theta | I (rel.) |
| --- | --- |
| 14.8 | 9 |
| 21.0 | 30 |
| 25.8 | 5 |
| 29.9 | 100 |
| 36.8 | 7 |
| 42.7 | 64 |
| 48.1 | 12 |
| 53.0 | 36 |
| 62.0 | 35 |
| 66.3 | 5 |

Structure:
Unit cell a=7.3294 b=7.3294 c=7.3294 alpha=109.47 beta=109.47 gamma=109.47
Positions (direct):
K1 0.0000 0.0000 0.5000
K2 0.0000 0.5000 0.0000
K3 0.5000 0.0000 0.0000
K4 0.5000 0.5000 0.5000
Zn1 0.0000 0.5000 0.5000
Zn2 0.5000 0.0000 0.5000
Zn3 0.5000 0.5000 0.0000
Cl1 0.0000 0.0000 0.0000
F1 0.0000 0.2702 0.2702
F2 0.0000 0.7298 0.7298
F3 0.2500 0.5000 0.7500
F4 0.2500 0.7500 0.5000
F5 0.2702 0.0000 0.2702
F6 0.2702 0.2702 0.0000
F7 0.5000 0.2500 0.7500
F8 0.5000 0.7500 0.2500
F9 0.7298 0.0000 0.7298
F10 0.7298 0.7298 0.0000
F11 0.7500 0.2500 0.5000
F12 0.7500 0.5000 0.2500

***

[3]
The following is a simulated X-ray powder pattern of La4OsCl2F. It was derived from a cell relaxed with PBE, using λ = 1.5418 Å (Cu Kα).
Intensities are scaled so that the largest is 100.

Top 10 peaks for 2θ from 5° to 70°, low angle first:
| 2theta | I (rel.) |
| --- | --- |
| 11.7 | 48 |
| 26.7 | 15 |
| 30.3 | 100 |
| 30.5 | 49 |
| 38.1 | 24 |
| 40.8 | 35 |
| 42.0 | 16 |
| 44.7 | 18 |
| 46.1 | 33 |
| 55.1 | 18 |

Structure:
Unit cell a=6.7584 b=4.0582 c=7.9447 alpha=90.00 beta=107.63 gamma=90.00
Positions (direct):
La1 0.2301 0.0000 0.2112
La2 0.2577 0.5000 0.7887
La3 0.7423 0.5000 0.2113
La4 0.7699 0.0000 0.7888
Os1 0.5000 0.0000 0.0000
Cl1 0.0000 0.0000 0.5000
Cl2 0.5000 0.5000 0.5000
F1 0.0000 0.5000 0.0000

***

[4]
The following is a simulated X-ray powder pattern of La8Ru3Cl4F. It was derived from a cell relaxed with PBE, using λ = 1.5418 Å (Cu Kα).
Intensities are scaled so that the largest is 100.

Top 10 peaks for 2θ from 5° to 70°, low angle first:
| 2theta | I (rel.) |
| --- | --- |
| 11.5 | 31 |
| 26.4 | 21 |
| 29.7 | 100 |
| 37.3 | 18 |
| 40.4 | 31 |
| 44.4 | 36 |
| 50.7 | 17 |
| 54.3 | 18 |
| 61.6 | 9 |
| 66.9 | 7 |

Structure:
Unit cell a=9.0066 b=9.0066 c=9.0066 alpha=53.88 beta=53.88 gamma=53.88
Positions (direct):
La1 0.2281 0.7377 0.7377
La2 0.2368 0.2368 0.2368
La3 0.2623 0.2623 0.7719
La4 0.2623 0.7719 0.2623
La5 0.7377 0.2281 0.7377
La6 0.7377 0.7377 0.2281
La7 0.7632 0.7632 0.7632
La8 0.7719 0.2623 0.2623
Ru1 0.0000 0.0000 0.5000
Ru2 0.0000 0.5000 0.0000
Ru3 0.5000 0.0000 0.0000
Cl1 0.0000 0.0000 0.0000
Cl2 0.0000 0.5000 0.5000
Cl3 0.5000 0.0000 0.5000
Cl4 0.5000 0.5000 0.0000
F1 0.5000 0.5000 0.5000

***

[5]
The following is a simulated X-ray powder pattern of LiClF4. It was derived from a cell relaxed with PBE, using λ = 1.5418 Å (Cu Kα).
Intensities are scaled so that the largest is 100.

Top 10 peaks for 2θ from 5° to 70°, low angle first:
| 2theta | I (rel.) |
| --- | --- |
| 15.6 | 76 |
| 21.4 | 66 |
| 26.6 | 36 |
| 29.0 | 100 |
| 33.1 | 21 |
| 38.3 | 8 |
| 45.3 | 44 |
| 54.7 | 44 |
| 60.1 | 9 |
| 61.1 | 9 |

Structure:
Unit cell a=5.6274 b=5.6897 c=6.1567 alpha=90.00 beta=90.00 gamma=90.00
Positions (direct):
Li1 0.0000 0.0000 0.0000
Li2 0.0000 0.5000 0.5000
Cl1 0.0000 0.0000 0.5000
Cl2 0.5000 0.0000 0.0000
F1 0.2235 0.2346 0.5000
F2 0.2235 0.7654 0.5000
F3 0.2627 0.2211 0.0000
F4 0.2627 0.7789 0.0000
F5 0.7373 0.2211 0.0000
F6 0.7373 0.7789 0.0000
F7 0.7765 0.2346 0.5000
F8 0.7765 0.7654 0.5000

***

[6]
The following is a simulated X-ray powder pattern of Li2ClF. It was derived from a cell relaxed with PBE, using λ = 1.5418 Å (Cu Kα).
Intensities are scaled so that the largest is 100.

Top 10 peaks for 2θ from 5° to 70°, low angle first:
| 2theta | I (rel.) |
| --- | --- |
| 20.0 | 9 |
| 31.3 | 100 |
| 35.9 | 23 |
| 37.3 | 9 |
| 41.4 | 5 |
| 51.7 | 12 |
| 52.7 | 24 |
| 61.7 | 20 |
| 63.6 | 9 |
| 65.4 | 6 |

Structure:
Unit cell a=5.0054 b=5.0054 c=9.6454 alpha=90.00 beta=90.00 gamma=90.00
Positions (direct):
Li1 0.1736 0.2500 0.1250
Li2 0.2500 0.6736 0.3750
Li3 0.2500 0.8264 0.8750
Li4 0.3264 0.2500 0.6250
Li5 0.6736 0.7500 0.6250
Li6 0.7500 0.1736 0.8750
Li7 0.7500 0.3264 0.3750
Li8 0.8264 0.7500 0.1250
Cl1 0.0000 0.0000 0.5000
Cl2 0.0000 0.5000 0.7500
Cl3 0.5000 0.0000 0.2500
Cl4 0.5000 0.5000 0.0000
F1 0.0000 0.0000 0.0000
F2 0.0000 0.5000 0.2500
F3 0.5000 0.0000 0.7500
F4 0.5000 0.5000 0.5000

***

[7]
The following is a simulated X-ray powder pattern of LiCl3F12. It was derived from a cell relaxed with PBE, using λ = 1.5418 Å (Cu Kα).
Intensities are scaled so that the largest is 100.

Top 10 peaks for 2θ from 5° to 70°, low angle first:
| 2theta | I (rel.) |
| --- | --- |
| 9.9 | 22 |
| 17.2 | 37 |
| 19.5 | 28 |
| 24.2 | 90 |
| 26.2 | 100 |
| 26.5 | 51 |
| 36.4 | 24 |
| 38.3 | 25 |
| 43.6 | 50 |
| 65.8 | 31 |

Structure:
Unit cell a=10.2852 b=10.2852 c=5.2829 alpha=90.00 beta=90.00 gamma=120.00
Positions (direct):
Li1 0.3333 0.6667 0.2500
Li2 0.6667 0.3333 0.7500
Cl1 0.0801 0.3572 0.7500
Cl2 0.2771 0.9199 0.7500
Cl3 0.3572 0.2771 0.2500
Cl4 0.6428 0.7229 0.7500
Cl5 0.7229 0.0801 0.2500
Cl6 0.9199 0.6428 0.2500
F1 0.0311 0.4908 0.7500
F2 0.0880 0.8580 0.7500
F3 0.1420 0.2300 0.7500
F4 0.2300 0.0880 0.2500
F5 0.2319 0.4700 0.0043
F6 0.2319 0.4700 0.4957
F7 0.2382 0.7681 0.0043
F8 0.2382 0.7681 0.4957
F9 0.4597 0.9689 0.7500
F10 0.4700 0.2382 0.5043
F11 0.4700 0.2382 0.9957
F12 0.4908 0.4597 0.2500
F13 0.5092 0.5403 0.7500
F14 0.5300 0.7618 0.0043
F15 0.5300 0.7618 0.4957
F16 0.5403 0.0311 0.2500
F17 0.7618 0.2319 0.5043
F18 0.7618 0.2319 0.9957
F19 0.7681 0.5300 0.5043
F20 0.7681 0.5300 0.9957
F21 0.7700 0.9120 0.7500
F22 0.8580 0.7700 0.2500
F23 0.9120 0.1420 0.2500
F24 0.9689 0.5092 0.2500

***

[8]
The following is a simulated X-ray powder pattern of Li6NCl2F. It was derived from a cell relaxed with PBE, using λ = 1.5418 Å (Cu Kα).
Intensities are scaled so that the largest is 100.

Top 10 peaks for 2θ from 5° to 70°, low angle first:
| 2theta | I (rel.) |
| --- | --- |
| 22.0 | 11 |
| 31.3 | 100 |
| 38.6 | 18 |
| 44.8 | 21 |
| 44.9 | 11 |
| 50.4 | 3 |
| 55.7 | 27 |
| 65.2 | 6 |
| 65.3 | 12 |
| 69.8 | 2 |

Structure:
Unit cell a=5.7214 b=8.0725 c=5.7230 alpha=90.00 beta=90.00 gamma=90.00
Positions (direct):
Li1 0.0142 0.2500 0.0134
Li2 0.0144 0.2500 0.4851
Li3 0.2500 0.0137 0.2528
Li4 0.2500 0.4863 0.2528
Li5 0.4858 0.2500 0.0134
Li6 0.4856 0.2500 0.4851
Li7 0.5144 0.7500 0.5149
Li8 0.5142 0.7500 0.9866
Li9 0.7500 0.5137 0.7472
Li10 0.7500 0.9863 0.7472
Li11 0.9856 0.7500 0.5149
Li12 0.9858 0.7500 0.9866
N1 0.2500 0.2500 0.2486
N2 0.7500 0.7500 0.7514
Cl1 0.2500 0.0001 0.7461
Cl2 0.2500 0.4999 0.7461
Cl3 0.7500 0.9999 0.2539
Cl4 0.7500 0.5001 0.2539
F1 0.2500 0.7500 0.2486
F2 0.7500 0.2500 0.7514